This entry pairs a crystal structure of ErCoSi2Ir with its simulated PXRD pattern. Radiation: Cu Kα. Structure: a cell relaxed with GGA-PBE.
Neutral-atom scattering factors, no anomalous dispersion.

Main lines, most intense first (2θ = 5–70°):
36.9°, rel. 100; 24.2°, rel. 52; 35.4°, rel. 37; 45.8°, rel. 35; 36.3°, rel. 19; 59.8°, rel. 18; 65.7°, rel. 18; 59.2°, rel. 17

Crystal structure
Cell: 5.6894 5.6894 5.6894 Å, 139.24 139.24 59.02°
Fractional positions:
1 Er 0.0000 0.0000 0.0000
2 Co 0.7500 0.2500 0.5000
3 Si 0.3774 0.3774 0.0000
4 Si 0.6226 0.6226 0.0000
5 Ir 0.2500 0.7500 0.5000